1.
For Tb2Nd4SmDy2, the PBE geometry in Alexandria gives the theoretical powder diffraction line list in this record (a wavelength of 1.5418 Å).
Lines closer than 0.1° are merged.

Structural model:
Lattice parameters (Å, degrees): 8.0963 8.0963 8.0794 107.49 107.49 36.80
Positions (direct):
1 Tb 0.1114 0.1114 0.1684
2 Tb 0.8886 0.8886 0.8316
3 Nd 0.2228 0.2228 0.8319
4 Nd 0.4456 0.4456 0.1682
5 Nd 0.5544 0.5544 0.8318
6 Nd 0.7772 0.7772 0.1681
7 Sm 0.0000 0.0000 0.5000
8 Dy 0.3324 0.3324 0.5006
9 Dy 0.6676 0.6676 0.4994

Top 8 peaks for 2θ = 10–80°, most intense first:
2theta, I_rel
30.27, 1000
35.09, 507
50.48, 362
59.97, 288
60.04, 143
62.96, 124
74.23, 38
74.04, 19

2.
For Nd2SmDy3Te6, the PBE geometry in Alexandria gives the theoretical powder diffraction line list in this record (a wavelength of 1.5418 Å).
Lines closer than 0.1° are merged.

Structural model:
Lattice parameters (Å, degrees): 9.9081 9.9081 8.9202 103.95 103.95 25.52
Positions (direct):
1 Nd 0.1673 0.1673 0.3341
2 Nd 0.8327 0.8327 0.6659
3 Sm 0.5000 0.5000 0.0000
4 Dy 0.1682 0.1682 0.8335
5 Dy 0.5000 0.5000 0.5000
6 Dy 0.8318 0.8318 0.1665
7 Te 0.0031 0.0031 0.7464
8 Te 0.3323 0.3323 0.9245
9 Te 0.3364 0.3364 0.4101
10 Te 0.6636 0.6636 0.5899
11 Te 0.6677 0.6677 0.0755
12 Te 0.9969 0.9969 0.2536

Top 10 peaks for 2θ = 10–80°, most intense first:
2theta, I_rel
28.58, 1000
40.62, 255
41.12, 250
50.97, 134
40.45, 129
59.17, 126
41.26, 124
66.66, 115
67.38, 115
49.86, 69

3.
For NdSm5DyTh2, the PBE geometry in Alexandria gives the theoretical powder diffraction line list in this record (a wavelength of 1.5418 Å).
Lines closer than 0.1° are merged.

Structural model:
Lattice parameters (Å, degrees): 10.0341 10.0341 10.0341 127.17 127.17 77.98
Positions (direct):
1 Nd 0.2500 0.2500 0.0000
2 Nd 0.7500 0.7500 0.0000
3 Sm 0.0000 0.0000 0.0000
4 Sm 0.0708 0.5708 0.9173
5 Sm 0.1535 0.0708 0.5000
6 Sm 0.3465 0.8465 0.9173
7 Sm 0.4292 0.3465 0.5000
8 Sm 0.5000 0.5000 0.0000
9 Sm 0.5708 0.6535 0.5000
10 Sm 0.6535 0.1535 0.0827
11 Sm 0.8465 0.9292 0.5000
12 Sm 0.9292 0.4292 0.0827
13 Dy 0.2500 0.7500 0.5000
14 Dy 0.7500 0.2500 0.5000
15 Th 0.1190 0.3810 0.5000
16 Th 0.3810 0.8810 0.2619
17 Th 0.6190 0.1190 0.7381
18 Th 0.8810 0.6190 0.5000

Top 10 peaks for 2θ = 10–80°, most intense first:
2theta, I_rel
28.22, 1000
30.44, 783
42.12, 233
36.75, 232
55.43, 195
51.42, 177
36.55, 169
33.76, 153
31.69, 146
77.91, 142

Repeat the third record exactly.
For NdSm5DyTh2, the PBE geometry in Alexandria gives the theoretical powder diffraction line list in this record (a wavelength of 1.5418 Å).
Lines closer than 0.1° are merged.

Structural model:
Lattice parameters (Å, degrees): 10.0341 10.0341 10.0341 127.17 127.17 77.98
Positions (direct):
1 Nd 0.2500 0.2500 0.0000
2 Nd 0.7500 0.7500 0.0000
3 Sm 0.0000 0.0000 0.0000
4 Sm 0.0708 0.5708 0.9173
5 Sm 0.1535 0.0708 0.5000
6 Sm 0.3465 0.8465 0.9173
7 Sm 0.4292 0.3465 0.5000
8 Sm 0.5000 0.5000 0.0000
9 Sm 0.5708 0.6535 0.5000
10 Sm 0.6535 0.1535 0.0827
11 Sm 0.8465 0.9292 0.5000
12 Sm 0.9292 0.4292 0.0827
13 Dy 0.2500 0.7500 0.5000
14 Dy 0.7500 0.2500 0.5000
15 Th 0.1190 0.3810 0.5000
16 Th 0.3810 0.8810 0.2619
17 Th 0.6190 0.1190 0.7381
18 Th 0.8810 0.6190 0.5000

Top 10 peaks for 2θ = 10–80°, most intense first:
2theta, I_rel
28.22, 1000
30.44, 783
42.12, 233
36.75, 232
55.43, 195
51.42, 177
36.55, 169
33.76, 153
31.69, 146
77.91, 142

Please write out number 2 again, unchanged.
For Nd2SmDy3Te6, the PBE geometry in Alexandria gives the theoretical powder diffraction line list in this record (a wavelength of 1.5418 Å).
Lines closer than 0.1° are merged.

Structural model:
Lattice parameters (Å, degrees): 9.9081 9.9081 8.9202 103.95 103.95 25.52
Positions (direct):
1 Nd 0.1673 0.1673 0.3341
2 Nd 0.8327 0.8327 0.6659
3 Sm 0.5000 0.5000 0.0000
4 Dy 0.1682 0.1682 0.8335
5 Dy 0.5000 0.5000 0.5000
6 Dy 0.8318 0.8318 0.1665
7 Te 0.0031 0.0031 0.7464
8 Te 0.3323 0.3323 0.9245
9 Te 0.3364 0.3364 0.4101
10 Te 0.6636 0.6636 0.5899
11 Te 0.6677 0.6677 0.0755
12 Te 0.9969 0.9969 0.2536

Top 10 peaks for 2θ = 10–80°, most intense first:
2theta, I_rel
28.58, 1000
40.62, 255
41.12, 250
50.97, 134
40.45, 129
59.17, 126
41.26, 124
66.66, 115
67.38, 115
49.86, 69